# FeNiP2S6
Computed powder XRD pattern, λ = 1.5418 Å (Cu Kα). Input: DFT lattice parameters and positions (GGA-PBE).

Main lines, in order of rising 2θ (15° ≤ 2θ ≤ 90°):
2θ/deg	I/Imax
30.73	634
35.38	1000
35.67	496
47.44	126
48.23	233
53.89	354
54.19	210
55.56	171
56.05	133
66.58	134

Cell and atoms:
a b c (Å): 5.8739 5.8739 6.8691
angles (deg): 97.77 97.77 119.66
Fractional positions:
Fe 0.0000 0.0000 0.0000
Ni 0.3193 0.6807 0.0000
P 0.5986 0.2873 0.8345
P 0.7127 0.4014 0.1655
S 0.0768 0.4298 0.2343
S 0.2402 0.2739 0.7681
S 0.4014 0.0827 0.2402
S 0.5702 0.9232 0.7657
S 0.7261 0.7598 0.2319
S 0.9173 0.5986 0.7598


# Fe4Ni4PdS8
Computed powder XRD pattern, λ = 1.5418 Å (Cu Kα). Input: DFT lattice parameters and positions (GGA-PBE).

Main lines, in order of rising 2θ (15° ≤ 2θ ≤ 90°):
2θ/deg	I/Imax
17.61	105
25.01	109
29.41	1000
30.75	96
46.87	343
51.32	894
60.26	119
72.03	207
75.52	132
83.04	103

Cell and atoms:
a b c (Å): 7.1215 7.1215 7.1215
angles (deg): 60.00 60.00 60.00
Fractional positions:
Fe 0.3756 0.3756 0.3756
Fe 0.3756 0.3756 0.8732
Fe 0.3756 0.8732 0.3756
Fe 0.8732 0.3756 0.3756
Ni 0.1226 0.1226 0.1226
Ni 0.1226 0.1226 0.6321
Ni 0.1226 0.6321 0.1226
Ni 0.6321 0.1226 0.1226
Pd 0.7500 0.7500 0.7500
S 0.0000 0.0000 0.0000
S 0.5000 0.5000 0.5000
S 0.5014 0.5014 0.9986
S 0.5014 0.9986 0.5014
S 0.5014 0.9986 0.9986
S 0.9986 0.5014 0.5014
S 0.9986 0.5014 0.9986
S 0.9986 0.9986 0.5014


# FeNi2S4
Computed powder XRD pattern, λ = 1.5418 Å (Cu Kα). Input: DFT lattice parameters and positions (GGA-PBE).

Main lines, in order of rising 2θ (15° ≤ 2θ ≤ 90°):
2θ/deg	I/Imax
16.36	138
26.88	251
31.63	1000
38.38	530
50.55	394
55.40	834
65.21	109
69.40	106
78.27	169
82.20	124

Cell and atoms:
a b c (Å): 6.6341 6.6341 6.6341
angles (deg): 60.00 60.00 60.00
Fractional positions:
Fe 0.1250 0.1250 0.1250
Fe 0.8750 0.8750 0.8750
Ni 0.0000 0.5000 0.5000
Ni 0.5000 0.0000 0.5000
Ni 0.5000 0.5000 0.0000
Ni 0.5000 0.5000 0.5000
S 0.2552 0.2552 0.2552
S 0.2552 0.2552 0.7345
S 0.2552 0.7345 0.2552
S 0.2655 0.7448 0.7448
S 0.7345 0.2552 0.2552
S 0.7448 0.2655 0.7448
S 0.7448 0.7448 0.2655
S 0.7448 0.7448 0.7448


# FeNiS2
Computed powder XRD pattern, λ = 1.5418 Å (Cu Kα). Input: DFT lattice parameters and positions (GGA-PBE).

Main lines, in order of rising 2θ (15° ≤ 2θ ≤ 90°):
2θ/deg	I/Imax
22.11	448
25.95	230
27.16	1000
41.18	595
41.28	603
45.06	384
47.96	605
48.08	289
50.83	273
70.16	228

Cell and atoms:
a b c (Å): 8.0501 8.0501 8.0501
angles (deg): 120.25 89.73 120.06
Fractional positions:
Fe 0.2498 0.0000 0.2498
Fe 0.3501 0.1951 0.8450
Fe 0.3501 0.5051 0.1550
Fe 0.7502 0.0000 0.7502
Ni 0.3325 0.5045 0.8280
Ni 0.6745 0.5036 0.8291
Ni 0.6745 0.8455 0.1709
Ni 0.6765 0.5045 0.1720
S 0.0856 0.2285 0.8571
S 0.3694 0.2338 0.5855
S 0.3694 0.7839 0.1356
S 0.3713 0.2285 0.1429
S 0.6423 0.7784 0.8639
S 0.6483 0.2338 0.8644
S 0.6483 0.7839 0.4145
S 0.9145 0.7784 0.1361